Record 1
This entry pairs a crystal structure of U2Si5Tc3 with its computed powder diffraction line list. Radiation: Cu Kα X-rays. Structure: the PBE geometry in OQMD.

Structure:
```
data_U2Si5Tc3
_chemical_formula_sum 'U8 Si20 Tc12'
_space_group_name_H-M_alt 'P 1'
_space_group_IT_number 1
_cell_length_a 10.9260
_cell_length_b 10.9260
_cell_length_c 5.4795
_cell_angle_alpha 90.00
_cell_angle_beta 90.00
_cell_angle_gamma 90.00
loop_
_space_group_symop_operation_xyz
'x,y,z'
loop_
_atom_site_label
_atom_site_fract_x
_atom_site_fract_y
_atom_site_fract_z
_atom_site_occupancy
U1 0.0745 0.2351 0.0000 1
U2 0.2351 0.9255 0.0000 1
U3 0.2649 0.4255 0.5000 1
U4 0.4255 0.7351 0.5000 1
U5 0.5745 0.2649 0.5000 1
U6 0.7351 0.5745 0.5000 1
U7 0.7649 0.0745 0.0000 1
U8 0.9255 0.7649 0.0000 1
Si1 0.0000 0.0000 0.2330 1
Si2 0.0000 0.0000 0.7670 1
Si3 0.0258 0.3157 0.5000 1
Si4 0.1732 0.6732 0.2500 1
Si5 0.1732 0.6732 0.7500 1
Si6 0.1843 0.4742 0.0000 1
Si7 0.3157 0.9742 0.5000 1
Si8 0.3268 0.1732 0.2500 1
Si9 0.3268 0.1732 0.7500 1
Si10 0.4742 0.8157 0.0000 1
Si11 0.5000 0.5000 0.2670 1
Si12 0.5000 0.5000 0.7330 1
Si13 0.5258 0.1843 0.0000 1
Si14 0.6732 0.8268 0.2500 1
Si15 0.6732 0.8268 0.7500 1
Si16 0.6843 0.0258 0.5000 1
Si17 0.8157 0.5258 0.0000 1
Si18 0.8268 0.3268 0.2500 1
Si19 0.8268 0.3268 0.7500 1
Si20 0.9742 0.6843 0.5000 1
Tc1 0.0000 0.5000 0.2500 1
Tc2 0.0000 0.5000 0.7500 1
Tc3 0.1237 0.8576 0.5000 1
Tc4 0.1424 0.1237 0.5000 1
Tc5 0.3576 0.6237 0.0000 1
Tc6 0.3763 0.3576 0.0000 1
Tc7 0.5000 0.0000 0.2500 1
Tc8 0.5000 0.0000 0.7500 1
Tc9 0.6237 0.6424 0.0000 1
Tc10 0.6424 0.3763 0.0000 1
Tc11 0.8576 0.8763 0.5000 1
Tc12 0.8763 0.1424 0.5000 1
```

Peak list (6 most intense, 15° ≤ 2θ ≤ 90°, in order of rising 2θ)
2θ 18.14, I = 30
2θ 30.59, I = 100
2θ 33.82, I = 33
2θ 36.76, I = 42
2θ 37.69, I = 77
2θ 40.37, I = 56



Record 2
This entry pairs a crystal structure of ThSi with its computed powder diffraction line list. Radiation: Cu Kα X-rays. Structure: the PBE geometry in OQMD.

Structure:
```
data_ThSi
_chemical_formula_sum 'Th1 Si1'
_space_group_name_H-M_alt 'P 1'
_space_group_IT_number 1
_cell_length_a 4.2853
_cell_length_b 4.2853
_cell_length_c 4.2853
_cell_angle_alpha 58.57
_cell_angle_beta 58.57
_cell_angle_gamma 58.57
loop_
_space_group_symop_operation_xyz
'x,y,z'
loop_
_atom_site_label
_atom_site_fract_x
_atom_site_fract_y
_atom_site_fract_z
_atom_site_occupancy
Th1 0.0000 0.0000 0.0000 1
Si1 0.5000 0.5000 0.5000 1
```

Peak list (6 most intense, 15° ≤ 2θ ≤ 90°, in order of rising 2θ)
2θ 25.18, I = 30
2θ 25.94, I = 83
2θ 29.82, I = 100
2θ 42.20, I = 39
2θ 43.16, I = 37
2θ 50.62, I = 29



Record 3
This entry pairs a crystal structure of Si6W with its computed powder diffraction line list. Radiation: Cu Kα X-rays. Structure: the PBE geometry in OQMD.

Structure:
```
data_Si6W
_chemical_formula_sum 'Si6 W1'
_space_group_name_H-M_alt 'P 1'
_space_group_IT_number 1
_cell_length_a 5.8930
_cell_length_b 5.8930
_cell_length_c 5.8930
_cell_angle_alpha 48.13
_cell_angle_beta 48.13
_cell_angle_gamma 48.13
loop_
_space_group_symop_operation_xyz
'x,y,z'
loop_
_atom_site_label
_atom_site_fract_x
_atom_site_fract_y
_atom_site_fract_z
_atom_site_occupancy
Si1 0.0909 0.5893 0.5856 1
Si2 0.4107 0.4144 0.9091 1
Si3 0.4144 0.9091 0.4107 1
Si4 0.5856 0.0909 0.5893 1
Si5 0.5893 0.5856 0.0909 1
Si6 0.9091 0.4107 0.4144 1
W1 0.0000 0.0000 0.0000 1
```

Peak list (6 most intense, 15° ≤ 2θ ≤ 90°, in order of rising 2θ)
2θ 17.06, I = 82
2θ 22.10, I = 84
2θ 24.24, I = 100
2θ 31.44, I = 99
2θ 35.98, I = 83
2θ 43.89, I = 90



Record 4
This entry pairs a crystal structure of YZnSi2 with its computed powder diffraction line list. Radiation: Cu Kα X-rays. Structure: the PBE geometry in OQMD.

Structure:
```
data_YZnSi2
_chemical_formula_sum 'Y1 Zn1 Si2'
_space_group_name_H-M_alt 'P 1'
_space_group_IT_number 1
_cell_length_a 4.7443
_cell_length_b 4.7443
_cell_length_c 4.7443
_cell_angle_alpha 60.00
_cell_angle_beta 60.00
_cell_angle_gamma 60.00
loop_
_space_group_symop_operation_xyz
'x,y,z'
loop_
_atom_site_label
_atom_site_fract_x
_atom_site_fract_y
_atom_site_fract_z
_atom_site_occupancy
Y1 0.0000 0.0000 0.0000 1
Zn1 0.7500 0.7500 0.7500 1
Si1 0.2500 0.2500 0.2500 1
Si2 0.5000 0.5000 0.5000 1
```

Peak list (6 most intense, 15° ≤ 2θ ≤ 90°, in order of rising 2θ)
2θ 22.96, I = 28
2θ 37.93, I = 100
2θ 44.80, I = 15
2θ 54.72, I = 17
2θ 68.51, I = 33
2θ 81.08, I = 10



Record 5
This entry pairs a crystal structure of Zn5Si with its computed powder diffraction line list. Radiation: Cu Kα X-rays. Structure: the PBE geometry in OQMD.

Structure:
```
data_Zn5Si
_chemical_formula_sum 'Zn5 Si1'
_space_group_name_H-M_alt 'P 1'
_space_group_IT_number 1
_cell_length_a 4.6935
_cell_length_b 4.6935
_cell_length_c 4.7271
_cell_angle_alpha 90.00
_cell_angle_beta 90.00
_cell_angle_gamma 120.00
loop_
_space_group_symop_operation_xyz
'x,y,z'
loop_
_atom_site_label
_atom_site_fract_x
_atom_site_fract_y
_atom_site_fract_z
_atom_site_occupancy
Zn1 0.0000 0.3340 0.0000 1
Zn2 0.3333 0.6667 0.5000 1
Zn3 0.3340 0.0000 0.0000 1
Zn4 0.6660 0.6660 0.0000 1
Zn5 0.6667 0.3333 0.5000 1
Si1 0.0000 0.0000 0.5000 1
```

Peak list (6 most intense, 15° ≤ 2θ ≤ 90°, in order of rising 2θ)
2θ 38.07, I = 32
2θ 38.36, I = 24
2θ 43.03, I = 100
2θ 55.15, I = 16
2θ 72.22, I = 20
2θ 81.97, I = 18



Record 6
This entry pairs a crystal structure of Zn4Si3 with its computed powder diffraction line list. Radiation: Cu Kα X-rays. Structure: the PBE geometry in OQMD.

Structure:
```
data_Zn4Si3
_chemical_formula_sum 'Zn8 Si6'
_space_group_name_H-M_alt 'P 1'
_space_group_IT_number 1
_cell_length_a 7.3826
_cell_length_b 7.3826
_cell_length_c 4.4884
_cell_angle_alpha 90.00
_cell_angle_beta 90.00
_cell_angle_gamma 120.00
loop_
_space_group_symop_operation_xyz
'x,y,z'
loop_
_atom_site_label
_atom_site_fract_x
_atom_site_fract_y
_atom_site_fract_z
_atom_site_occupancy
Zn1 0.0952 0.6079 0.2500 1
Zn2 0.3333 0.6667 0.7500 1
Zn3 0.3921 0.4874 0.2500 1
Zn4 0.4874 0.0952 0.7500 1
Zn5 0.5126 0.9048 0.2500 1
Zn6 0.6079 0.5126 0.7500 1
Zn7 0.6667 0.3333 0.2500 1
Zn8 0.9048 0.3921 0.7500 1
Si1 0.0433 0.8174 0.7500 1
Si2 0.1826 0.2259 0.7500 1
Si3 0.2259 0.0433 0.2500 1
Si4 0.7741 0.9567 0.7500 1
Si5 0.8174 0.7741 0.2500 1
Si6 0.9567 0.1826 0.2500 1
```

Peak list (6 most intense, 15° ≤ 2θ ≤ 90°, in order of rising 2θ)
2θ 37.21, I = 24
2θ 40.18, I = 26
2θ 42.49, I = 100
2θ 67.09, I = 16
2θ 74.61, I = 17
2θ 81.18, I = 17



Record 7
This entry pairs a crystal structure of Zn3Si with its computed powder diffraction line list. Radiation: Cu Kα X-rays. Structure: the PBE geometry in OQMD.

Structure:
```
data_Zn3Si
_chemical_formula_sum 'Zn6 Si2'
_space_group_name_H-M_alt 'P 1'
_space_group_IT_number 1
_cell_length_a 4.7124
_cell_length_b 5.4434
_cell_length_c 4.7248
_cell_angle_alpha 90.00
_cell_angle_beta 90.00
_cell_angle_gamma 90.00
loop_
_space_group_symop_operation_xyz
'x,y,z'
loop_
_atom_site_label
_atom_site_fract_x
_atom_site_fract_y
_atom_site_fract_z
_atom_site_occupancy
Zn1 0.2500 0.0010 0.1665 1
Zn2 0.2500 0.2500 0.6653 1
Zn3 0.2500 0.4990 0.1665 1
Zn4 0.7500 0.5010 0.8335 1
Zn5 0.7500 0.7500 0.3347 1
Zn6 0.7500 0.9990 0.8335 1
Si1 0.2500 0.7500 0.6667 1
Si2 0.7500 0.2500 0.3333 1
```

Peak list (6 most intense, 15° ≤ 2θ ≤ 90°, in order of rising 2θ)
2θ 38.14, I = 23
2θ 38.20, I = 31
2θ 42.86, I = 100
2θ 55.08, I = 16
2θ 72.27, I = 13
2θ 81.60, I = 14



Record 8
This entry pairs a crystal structure of ZrZnSi2 with its computed powder diffraction line list. Radiation: Cu Kα X-rays. Structure: the PBE geometry in OQMD.

Structure:
```
data_ZrZnSi2
_chemical_formula_sum 'Zr1 Zn1 Si2'
_space_group_name_H-M_alt 'P 1'
_space_group_IT_number 1
_cell_length_a 4.5816
_cell_length_b 4.5816
_cell_length_c 4.5816
_cell_angle_alpha 60.00
_cell_angle_beta 60.00
_cell_angle_gamma 60.00
loop_
_space_group_symop_operation_xyz
'x,y,z'
loop_
_atom_site_label
_atom_site_fract_x
_atom_site_fract_y
_atom_site_fract_z
_atom_site_occupancy
Zr1 0.0000 0.0000 0.0000 1
Zn1 0.2500 0.2500 0.2500 1
Si1 0.5000 0.5000 0.5000 1
Si2 0.7500 0.7500 0.7500 1
```

Peak list (6 most intense, 15° ≤ 2θ ≤ 90°, in order of rising 2θ)
2θ 23.79, I = 30
2θ 39.33, I = 100
2θ 46.48, I = 15
2θ 56.84, I = 16
2θ 71.31, I = 33
2θ 84.61, I = 10



Record 9
This entry pairs a crystal structure of Zr2Si7 with its computed powder diffraction line list. Radiation: Cu Kα X-rays. Structure: the PBE geometry in OQMD.

Structure:
```
data_Zr2Si7
_chemical_formula_sum 'Zr4 Si14'
_space_group_name_H-M_alt 'P 1'
_space_group_IT_number 1
_cell_length_a 4.9770
_cell_length_b 4.9770
_cell_length_c 13.9761
_cell_angle_alpha 93.93
_cell_angle_beta 93.93
_cell_angle_gamma 122.78
loop_
_space_group_symop_operation_xyz
'x,y,z'
loop_
_atom_site_label
_atom_site_fract_x
_atom_site_fract_y
_atom_site_fract_z
_atom_site_occupancy
Zr1 0.1943 0.1943 0.4015 1
Zr2 0.2061 0.2061 0.9041 1
Zr3 0.7939 0.7939 0.0959 1
Zr4 0.8057 0.8057 0.5985 1
Si1 0.0250 0.6453 0.2646 1
Si2 0.1026 0.4588 0.0786 1
Si3 0.1263 0.4608 0.5732 1
Si4 0.3547 0.9750 0.7354 1
Si5 0.3601 0.3601 0.2174 1
Si6 0.4588 0.1026 0.0786 1
Si7 0.4608 0.1263 0.5732 1
Si8 0.5392 0.8737 0.4268 1
Si9 0.5412 0.8974 0.9214 1
Si10 0.6399 0.6399 0.7826 1
Si11 0.6453 0.0250 0.2646 1
Si12 0.8737 0.5392 0.4268 1
Si13 0.8974 0.5412 0.9214 1
Si14 0.9750 0.3547 0.7354 1
```

Peak list (6 most intense, 15° ≤ 2θ ≤ 90°, in order of rising 2θ)
2θ 26.39, I = 46
2θ 37.62, I = 33
2θ 38.15, I = 41
2θ 39.07, I = 51
2θ 39.54, I = 100
2θ 43.28, I = 65



Record 10
This entry pairs a crystal structure of Zr3Si2 with its computed powder diffraction line list. Radiation: Cu Kα X-rays. Structure: the PBE geometry in OQMD.

Structure:
```
data_Zr3Si2
_chemical_formula_sum 'Zr6 Si4'
_space_group_name_H-M_alt 'P 1'
_space_group_IT_number 1
_cell_length_a 7.1214
_cell_length_b 7.1214
_cell_length_c 3.7017
_cell_angle_alpha 90.00
_cell_angle_beta 90.00
_cell_angle_gamma 90.00
loop_
_space_group_symop_operation_xyz
'x,y,z'
loop_
_atom_site_label
_atom_site_fract_x
_atom_site_fract_y
_atom_site_fract_z
_atom_site_occupancy
Zr1 0.0000 0.0000 0.0000 1
Zr2 0.1741 0.3259 0.5000 1
Zr3 0.3259 0.8259 0.5000 1
Zr4 0.5000 0.5000 0.0000 1
Zr5 0.6741 0.1741 0.5000 1
Zr6 0.8259 0.6741 0.5000 1
Si1 0.1223 0.6223 0.0000 1
Si2 0.3777 0.1223 0.0000 1
Si3 0.6223 0.8777 0.0000 1
Si4 0.8777 0.3777 0.0000 1
```

Peak list (6 most intense, 15° ≤ 2θ ≤ 90°, in order of rising 2θ)
2θ 28.02, I = 32
2θ 29.96, I = 31
2θ 34.97, I = 81
2θ 37.24, I = 100
2θ 40.04, I = 56
2θ 65.25, I = 25



Record 11
This entry pairs a crystal structure of Sm with its computed powder diffraction line list. Radiation: Cu Kα X-rays. Structure: the PBE geometry in OQMD.

Structure:
```
data_Sm
_chemical_formula_sum 'Sm1'
_space_group_name_H-M_alt 'P 1'
_space_group_IT_number 1
_cell_length_a 3.6165
_cell_length_b 3.6165
_cell_length_c 3.6165
_cell_angle_alpha 60.00
_cell_angle_beta 60.00
_cell_angle_gamma 60.00
loop_
_space_group_symop_operation_xyz
'x,y,z'
loop_
_atom_site_label
_atom_site_fract_x
_atom_site_fract_y
_atom_site_fract_z
_atom_site_occupancy
Sm1 0.0000 0.0000 0.0000 1
```

Peak list (6 most intense, 15° ≤ 2θ ≤ 90°, in order of rising 2θ)
2θ 30.27, I = 100
2θ 35.09, I = 51
2θ 50.47, I = 36
2θ 59.99, I = 43
2θ 82.15, I = 18
2θ 84.77, I = 16